[1]
Ba7NaBi2O2: computed X-ray powder pattern (Cu Kα (λ = 1.5418 Å)), based on a GGA-PBE-relaxed structure.
Kinematic intensities with the Lorentz-polarization factor, no thermal factor.

Main lines, by angle (2θ = 10–80°):
| d/Å | 2θ (°) | I/Imax | index |
| --- | --- | --- | --- |
| 3.480 | 25.6 | 99 | 1 1 4 |
| 3.335 | 26.7 | 49 | 0 0 10 |
| 3.153 | 28.3 | 89 | 1 1 6 |
| 2.820 | 31.7 | 77 | 1 1 8 |
| 2.708 | 33.1 | 100 | 2 0 0 |
| 2.102 | 43.0 | 54 | 2 0 10 |

Structure:
Cell: 5.415 5.415 33.354 Å, 90.00 90.00 90.00°
Space group I4/mmm (No. 139)
Asymmetric unit:
Ba 0.000 0.000 0.000
Ba 0.000 0.000 0.204
Ba 0.000 0.500 0.112
Na 0.000 0.000 0.500
Bi 0.000 0.000 0.315
O 0.000 0.000 0.125


[2]
BaNaBiPb2: computed X-ray powder pattern (Cu Kα (λ = 1.5418 Å)), based on a GGA-PBE-relaxed structure.
Kinematic intensities with the Lorentz-polarization factor, no thermal factor.

Main lines, by angle (2θ = 10–80°):
| d/Å | 2θ (°) | I/Imax | index |
| --- | --- | --- | --- |
| 4.652 | 19.1 | 42 | 1 0 1 |
| 3.509 | 25.4 | 61 | 0 1 3 |
| 3.167 | 28.2 | 92 | 1 1 2 |
| 2.537 | 35.4 | 100 | 0 1 5 |
| 2.517 | 35.7 | 67 | 0 2 0 |
| 2.451 | 36.7 | 41 | 2 0 0 |

Structure:
Cell: 4.904 5.029 14.683 Å, 90.00 90.00 90.00°
Space group Imm2 (No. 44)
Asymmetric unit:
Ba 0.000 0.000 0.000
Na 0.000 0.500 0.738
Bi 0.000 0.000 0.596
Pb 0.000 0.000 0.382
Pb 0.000 0.500 0.250


[3]
RbBa2Na2Bi2: computed X-ray powder pattern (Cu Kα (λ = 1.5418 Å)), based on a GGA-PBE-relaxed structure.
Kinematic intensities with the Lorentz-polarization factor, no thermal factor.

Main lines, by angle (2θ = 10–80°):
| d/Å | 2θ (°) | I/Imax | index |
| --- | --- | --- | --- |
| 4.815 | 18.4 | 25 | 1 0 1 |
| 4.672 | 19.0 | 45 | 0 1 2 |
| 3.171 | 28.1 | 100 | 0 1 8 |
| 2.809 | 31.9 | 82 | 1 1 0 |
| 2.103 | 43.0 | 32 | 2 0 8 |
| 1.683 | 54.5 | 32 | 1 2 8 |

Structure:
Cell: 5.6189 5.6189 33.4436 Å, 90.00 90.00 120.00°
Space group R-3m (No. 166, hexagonal axes)
Asymmetric unit:
Rb 0.0000 0.0000 0.0000
Ba 0.0000 0.0000 0.1297
Na 0.0000 0.0000 0.4028
Bi 0.0000 0.0000 0.2499


[4]
BaNa2SnBi2: computed X-ray powder pattern (Cu Kα (λ = 1.5418 Å)), based on a GGA-PBE-relaxed structure.
Kinematic intensities with the Lorentz-polarization factor, no thermal factor.

Main lines, by angle (2θ = 10–80°):
| d/Å | 2θ (°) | I/Imax | index |
| --- | --- | --- | --- |
| 4.098 | 21.7 | 93 | 0 2 1 |
| 3.261 | 27.4 | 24 | 1 2 1 |
| 3.161 | 28.2 | 97 | 1 1 2 |
| 2.692 | 33.3 | 100 | 2 0 0 |
| 2.442 | 36.8 | 50 | 0 2 3 |
| 2.282 | 39.5 | 31 | 1 3 2 |

Structure:
Cell: 5.385 9.320 8.603 Å, 90.00 90.00 90.00°
Space group Pmc2_1 (No. 26)
Asymmetric unit:
Ba 0.000 0.047 0.000
Na 0.000 0.343 0.355
Na 0.500 0.430 0.026
Sn 0.500 0.195 0.653
Bi 0.000 0.338 0.732
Bi 0.500 0.141 0.280


[5]
BaNb3Bi: computed X-ray powder pattern (Cu Kα (λ = 1.5418 Å)), based on a GGA-PBE-relaxed structure.
Kinematic intensities with the Lorentz-polarization factor, no thermal factor.

Main lines, by angle (2θ = 10–80°):
| d/Å | 2θ (°) | I/Imax | index |
| --- | --- | --- | --- |
| 5.354 | 16.6 | 40 | 1 0 0 |
| 3.786 | 23.5 | 72 | 1 1 0 |
| 2.677 | 33.5 | 100 | 2 0 0 |
| 2.186 | 41.3 | 34 | 2 1 1 |
| 1.893 | 48.1 | 72 | 2 2 0 |
| 1.546 | 59.8 | 25 | 2 2 2 |

Structure:
Cell: 5.354 5.354 5.354 Å, 90.00 90.00 90.00°
Space group Pm-3m (No. 221)
Asymmetric unit:
Ba 0.000 0.000 0.000
Nb 0.000 0.500 0.500
Bi 0.500 0.500 0.500


[6]
BaNb2Bi2O9: computed X-ray powder pattern (Cu Kα (λ = 1.5418 Å)), based on a GGA-PBE-relaxed structure.
Kinematic intensities with the Lorentz-polarization factor, no thermal factor.

Main lines, by angle (2θ = 10–80°):
| d/Å | 2θ (°) | I/Imax | index |
| --- | --- | --- | --- |
| 3.665 | 24.3 | 18 | 3 1 1 |
| 3.180 | 28.1 | 100 | 5 1 1 |
| 2.860 | 31.3 | 19 | 0 2 0 |
| 2.560 | 35.1 | 14 | 10 0 0 |
| 2.029 | 44.7 | 14 | 0 2 2 |
| 1.706 | 53.7 | 14 | 5 3 1 |

Structure:
Cell: 25.595 5.720 5.761 Å, 90.00 90.00 90.00°
Space group Cmc2_1 (No. 36)
Asymmetric unit:
Ba 0.000 0.248 0.000
Nb 0.085 0.252 0.513
Bi 0.202 0.282 0.113
O 0.000 0.231 0.483
O 0.074 0.495 0.737
O 0.084 0.004 0.231
O 0.158 0.305 0.473
O 0.249 0.020 0.311